Record 1
Computed powder XRD pattern
Compound: Er6CN4
Radiation: Cu Kα
Structure: DFT lattice parameters and positions (GGA-PBE)
Peak positions follow from Bragg's law for the DFT cell and can differ from measured ones.

```
22
Lattice="5.103 2.946 3.956 -5.103 2.946 3.956 0.000 -5.892 3.956" Properties=species:S:1:pos:R:3 pbc="T T T"
Er -4.669 -1.166 6.566
Er -1.325 -4.627 5.302
Er -1.325 -1.265 4.588
Er -3.345 3.460 5.302
Er -0.434 1.780 4.588
Er -1.758 0.514 7.280
Er 1.758 -0.514 4.588
Er 0.434 -1.780 7.280
Er 3.345 -3.460 6.566
Er 1.325 1.265 7.280
Er 1.325 4.627 6.566
Er 4.669 1.166 5.302
C 0.000 0.000 0.000
C 0.000 0.000 5.934
N -3.329 0.127 4.945
N 0.000 0.000 2.967
N -1.774 -2.819 6.923
N 1.555 -2.946 4.945
N -1.555 2.946 6.923
N 1.774 2.819 4.945
N 0.000 0.000 8.901
N 3.329 -0.127 6.923
```

Principal peaks in the range 2θ = 10–90°, most intense first:
Position (°2θ)	intensity
31.81	100
30.71	95
42.14	78
40.67	73
25.13	65
37.46	63

***

Record 2
Computed powder XRD pattern
Compound: Zr2BrCl3
Radiation: Cu Kα
Structure: DFT lattice parameters and positions (GGA-PBE)
Peak positions follow from Bragg's law for the DFT cell and can differ from measured ones.

```
12
Lattice="3.458 0.000 0.000 -1.729 2.995 0.000 0.000 0.000 29.596" Properties=species:S:1:pos:R:3 pbc="T T T"
Zr 0.000 0.000 0.000
Zr 0.000 0.000 14.326
Zr 1.729 0.998 7.205
Zr 1.729 0.998 21.817
Br 0.000 0.000 19.933
Br 0.000 0.000 23.701
Cl 0.000 0.000 5.499
Cl 0.000 0.000 8.910
Cl 1.729 0.998 1.706
Cl 1.729 0.998 12.620
Cl 1.729 0.998 16.031
Cl 1.729 0.998 27.890
```

Principal peaks in the range 2θ = 10–90°, most intense first:
Position (°2θ)	intensity
11.96	100
35.06	77
42.97	45
29.84	33
52.97	25
32.25	14

***

Record 3
Computed powder XRD pattern
Compound: HfV6Si8
Radiation: Cu Kα
Structure: DFT lattice parameters and positions (GGA-PBE)
Peak positions follow from Bragg's law for the DFT cell and can differ from measured ones.

```
15
Lattice="3.548 2.049 4.966 -3.548 2.049 4.966 0.000 -4.097 4.966" Properties=species:S:1:pos:R:3 pbc="T T T"
Hf 0.000 0.000 0.000
V -1.809 -0.011 6.041
V -0.895 -1.573 8.856
V 0.915 -1.561 6.041
V -0.915 1.561 8.856
V 0.895 1.573 6.041
V 1.809 0.011 8.856
Si -1.334 -2.429 6.546
Si -2.770 -0.059 8.351
Si 0.000 0.000 4.318
Si -1.436 2.370 6.546
Si 1.436 -2.370 8.351
Si 0.000 0.000 10.579
Si 2.770 0.059 6.546
Si 1.334 2.429 8.351
```

Principal peaks in the range 2θ = 10–90°, most intense first:
Position (°2θ)	intensity
30.98	100
44.54	83
46.05	69
44.21	68
39.25	65
18.72	55

***

Record 4
Computed powder XRD pattern
Compound: Tb3Sm2Hg2
Radiation: Cu Kα
Structure: DFT lattice parameters and positions (GGA-PBE)
Peak positions follow from Bragg's law for the DFT cell and can differ from measured ones.

```
14
Lattice="9.383 0.000 0.000 0.000 5.422 0.000 -3.133 0.000 7.999" Properties=species:S:1:pos:R:3 pbc="T T T"
Tb 0.000 0.000 0.000
Tb -0.003 0.000 3.788
Tb 1.561 2.711 4.211
Tb 4.691 2.711 0.000
Tb 4.689 2.711 3.788
Tb 6.253 0.000 4.211
Sm -1.568 2.711 5.813
Sm 3.127 0.000 2.186
Sm 3.124 0.000 5.813
Sm 7.818 2.711 2.186
Hg 1.565 2.711 1.123
Hg -0.006 0.000 6.876
Hg 6.256 0.000 1.123
Hg 4.685 2.711 6.876
```

Principal peaks in the range 2θ = 10–90°, most intense first:
Position (°2θ)	intensity
33.06	100
32.34	93
58.59	35
46.92	34
59.05	19
57.22	15